The following is a calculated X-ray powder pattern of Ta5W11. It was derived from DFT lattice parameters and positions (PBE), using Cu Kα, 1.54184 Å.
Neutral-atom scattering factors, no anomalous dispersion.

Top 2 peaks for 5 to 70 degrees two-theta, by angle:
2θ (°)	I_rel
39.58	100
57.22	17

Cell and atoms:
Unit cell a=6.4394 b=6.4388 c=6.4408 alpha=90.00 beta=90.03 gamma=90.00
Positions (direct):
Ta 0.0000 0.0000 0.0000
Ta 0.0006 0.0000 0.4942
Ta 0.2550 0.2514 0.7481
Ta 0.2550 0.7486 0.7481
Ta 0.5072 0.5000 0.4933
W 0.0015 0.5000 0.9991
W 0.0018 0.5000 0.4945
W 0.2546 0.2512 0.2456
W 0.2546 0.7488 0.2456
W 0.5057 0.0000 0.4946
W 0.5055 0.0000 0.9991
W 0.5064 0.5000 0.9990
W 0.7520 0.2513 0.2451
W 0.7524 0.2512 0.7476
W 0.7520 0.7487 0.2451
W 0.7524 0.7488 0.7476

---

The following is a calculated X-ray powder pattern of Ta2W3. It was derived from DFT lattice parameters and positions (PBE), using Cu Kα, 1.54184 Å.
Neutral-atom scattering factors, no anomalous dispersion.

Top 2 peaks for 5 to 70 degrees two-theta, by angle:
2θ (°)	I_rel
39.47	100
57.05	17

Cell and atoms:
Unit cell a=3.2284 b=3.2284 c=16.1461 alpha=90.00 beta=90.00 gamma=90.00
Positions (direct):
Ta 0.0000 0.0000 0.1007
Ta 0.0000 0.0000 0.3014
Ta 0.0000 0.0000 0.6986
Ta 0.0000 0.0000 0.8993
W 0.0000 0.0000 0.5000
W 0.5000 0.5000 0.0000
W 0.5000 0.5000 0.2016
W 0.5000 0.5000 0.4032
W 0.5000 0.5000 0.5968
W 0.5000 0.5000 0.7984

---

The following is a calculated X-ray powder pattern of Ta5W4. It was derived from DFT lattice parameters and positions (PBE), using Cu Kα, 1.54184 Å.
Neutral-atom scattering factors, no anomalous dispersion.

Top 3 peaks for 5 to 70 degrees two-theta, by angle:
2θ (°)	I_rel
39.17	100
56.51	12
56.77	6

Cell and atoms:
Unit cell a=7.0964 b=7.0964 c=7.0964 alpha=92.99 beta=92.99 gamma=153.58
Positions (direct):
Ta 0.0000 0.0000 0.0000
Ta 0.0000 0.3275 0.3275
Ta 0.0000 0.6725 0.6725
Ta 0.3275 0.0000 0.3275
Ta 0.6725 0.0000 0.6725
W 0.3312 0.3312 0.6624
W 0.3312 0.6688 0.0000
W 0.6688 0.3312 0.0000
W 0.6688 0.6688 0.3376

---

The following is a calculated X-ray powder pattern of Ta13W3. It was derived from DFT lattice parameters and positions (PBE), using Cu Kα, 1.54184 Å.
Neutral-atom scattering factors, no anomalous dispersion.

Top 5 peaks for 5 to 70 degrees two-theta, by angle:
2θ (°)	I_rel
38.57	20
38.76	100
55.81	14
56.14	7
69.92	14

Cell and atoms:
Unit cell a=6.5532 b=6.5885 c=6.5885 alpha=89.78 beta=90.00 gamma=90.00
Positions (direct):
Ta 0.0000 0.0000 0.0000
Ta 0.0000 0.5080 0.5080
Ta 0.0000 0.5094 0.9992
Ta 0.0000 0.9992 0.5094
Ta 0.2522 0.2527 0.2527
Ta 0.2525 0.2520 0.7576
Ta 0.2525 0.7576 0.2520
Ta 0.5000 0.9997 0.5096
Ta 0.5000 0.5091 0.5091
Ta 0.5000 0.5096 0.9997
Ta 0.7475 0.2520 0.7576
Ta 0.7475 0.7576 0.2520
Ta 0.7478 0.2527 0.2527
W 0.2517 0.7561 0.7561
W 0.5000 0.0016 0.0016
W 0.7483 0.7561 0.7561

---

The following is a calculated X-ray powder pattern of Ta5W2. It was derived from DFT lattice parameters and positions (PBE), using Cu Kα, 1.54184 Å.
Neutral-atom scattering factors, no anomalous dispersion.

Top 4 peaks for 5 to 70 degrees two-theta, by angle:
2θ (°)	I_rel
38.76	100
39.02	97
56.12	23
56.27	11

Cell and atoms:
Unit cell a=8.0413 b=4.6495 c=7.1084 alpha=90.00 beta=112.30 gamma=90.00
Positions (direct):
Ta 0.0000 0.0000 0.0000
Ta 0.0742 0.5000 0.7226
Ta 0.1461 0.0000 0.4383
Ta 0.3539 0.5000 0.5617
Ta 0.4258 0.0000 0.2774
Ta 0.5000 0.5000 0.0000
Ta 0.5742 0.0000 0.7226
Ta 0.6461 0.5000 0.4383
Ta 0.8539 0.0000 0.5617
Ta 0.9258 0.5000 0.2774
W 0.2151 0.5000 0.1452
W 0.2849 0.0000 0.8548
W 0.7151 0.0000 0.1452
W 0.7849 0.5000 0.8548

---

The following is a calculated X-ray powder pattern of Ta3W2. It was derived from DFT lattice parameters and positions (PBE), using Cu Kα, 1.54184 Å.
Neutral-atom scattering factors, no anomalous dispersion.

Top 2 peaks for 5 to 70 degrees two-theta, by angle:
2θ (°)	I_rel
39.12	100
56.51	17

Cell and atoms:
Unit cell a=3.2571 b=3.2571 c=16.2808 alpha=90.00 beta=90.00 gamma=90.00
Positions (direct):
Ta 0.0000 0.0000 0.0000
Ta 0.0000 0.0000 0.1962
Ta 0.0000 0.0000 0.8038
Ta 0.5000 0.5000 0.3038
Ta 0.5000 0.5000 0.5000
Ta 0.5000 0.5000 0.6962
W 0.0000 0.0000 0.3999
W 0.0000 0.0000 0.6001
W 0.5000 0.5000 0.1001
W 0.5000 0.5000 0.8999

---

The following is a calculated X-ray powder pattern of Ta5W3. It was derived from DFT lattice parameters and positions (PBE), using Cu Kα, 1.54184 Å.
Neutral-atom scattering factors, no anomalous dispersion.

Top 3 peaks for 5 to 70 degrees two-theta, by angle:
2θ (°)	I_rel
39.08	100
56.37	6
56.51	12

Cell and atoms:
Unit cell a=3.2571 b=3.2571 c=13.0565 alpha=90.00 beta=90.00 gamma=90.00
Positions (direct):
Ta 0.0000 0.0000 0.0000
Ta 0.0000 0.0000 0.2448
Ta 0.0000 0.0000 0.7552
Ta 0.5000 0.5000 0.3785
Ta 0.5000 0.5000 0.6215
W 0.0000 0.0000 0.5000
W 0.5000 0.5000 0.1249
W 0.5000 0.5000 0.8751

---

The following is a calculated X-ray powder pattern of Ta5W. It was derived from DFT lattice parameters and positions (PBE), using Cu Kα, 1.54184 Å.
Neutral-atom scattering factors, no anomalous dispersion.

Top 8 peaks for 5 to 70 degrees two-theta, by angle:
2θ (°)	I_rel
38.57	50
38.73	100
55.60	9
55.76	9
56.19	9
69.78	9
69.89	18
69.99	9

Cell and atoms:
Unit cell a=10.4446 b=3.2740 c=6.5946 alpha=90.00 beta=108.29 gamma=90.00
Positions (direct):
Ta 0.0000 0.0000 0.0000
Ta 0.1617 0.5000 0.3363
Ta 0.1647 0.5000 0.8273
Ta 0.3353 0.0000 0.1727
Ta 0.3383 0.0000 0.6637
Ta 0.5000 0.5000 0.0000
Ta 0.6617 0.0000 0.3363
Ta 0.6647 0.0000 0.8273
Ta 0.8353 0.5000 0.1727
Ta 0.8383 0.5000 0.6637
W 0.0000 0.0000 0.5000
W 0.5000 0.5000 0.5000

---

The following is a calculated X-ray powder pattern of Ta3W7. It was derived from DFT lattice parameters and positions (PBE), using Cu Kα, 1.54184 Å.
Neutral-atom scattering factors, no anomalous dispersion.

Top 10 peaks for 5 to 70 degrees two-theta, by angle:
2θ (°)	I_rel
33.86	15
35.63	80
35.94	16
39.55	95
41.30	48
41.63	100
43.06	23
60.08	19
63.89	20
64.42	23

Cell and atoms:
Unit cell a=8.7450 b=8.7450 c=5.2943 alpha=90.00 beta=90.00 gamma=120.00
Positions (direct):
Ta 0.2085 0.4170 0.2500
Ta 0.2085 0.7915 0.2500
Ta 0.4170 0.2085 0.7500
Ta 0.5830 0.7915 0.2500
Ta 0.7915 0.2085 0.7500
Ta 0.7915 0.5830 0.7500
W 0.0000 0.5000 0.0000
W 0.0000 0.5000 0.5000
W 0.1159 0.2318 0.7500
W 0.1159 0.8841 0.7500
W 0.2318 0.1159 0.2500
W 0.3333 0.6667 0.7500
W 0.5000 0.0000 0.0000
W 0.5000 0.0000 0.5000
W 0.5000 0.5000 0.0000
W 0.5000 0.5000 0.5000
W 0.6667 0.3333 0.2500
W 0.7682 0.8841 0.7500
W 0.8841 0.1159 0.2500
W 0.8841 0.7682 0.2500

---

The following is a calculated X-ray powder pattern of Ta5W. It was derived from DFT lattice parameters and positions (PBE), using Cu Kα, 1.54184 Å.
Neutral-atom scattering factors, no anomalous dispersion.

Top 6 peaks for 5 to 70 degrees two-theta, by angle:
2θ (°)	I_rel
34.94	33
36.14	22
40.31	100
51.15	17
64.99	17
66.30	23

Cell and atoms:
Unit cell a=4.9713 b=4.9713 c=5.1355 alpha=90.00 beta=90.00 gamma=120.00
Positions (direct):
Ta 0.0000 0.6693 0.0000
Ta 0.3307 0.3307 0.0000
Ta 0.3333 0.6667 0.5000
Ta 0.6667 0.3333 0.5000
Ta 0.6693 0.0000 0.0000
W 0.0000 0.0000 0.5000

---

The following is a calculated X-ray powder pattern of Ta11W5. It was derived from DFT lattice parameters and positions (PBE), using Cu Kα, 1.54184 Å.
Neutral-atom scattering factors, no anomalous dispersion.

Top 3 peaks for 5 to 70 degrees two-theta, by angle:
2θ (°)	I_rel
38.98	100
56.25	12
56.40	6

Cell and atoms:
Unit cell a=6.5415 b=6.5251 c=6.5417 alpha=90.00 beta=90.09 gamma=90.00
Positions (direct):
Ta 0.0000 0.0000 0.0000
Ta 0.0002 0.0000 0.4913
Ta 0.9998 0.5000 0.4900
Ta 0.2564 0.2520 0.2427
Ta 0.2561 0.2519 0.7467
Ta 0.2564 0.7480 0.2427
Ta 0.2561 0.7481 0.7467
Ta 0.5089 0.0000 0.0001
Ta 0.5088 0.5000 0.4905
Ta 0.7521 0.2521 0.7471
Ta 0.7521 0.7479 0.7471
W 0.0019 0.5000 0.9974
W 0.5072 0.0000 0.4928
W 0.5080 0.5000 0.9979
W 0.7529 0.2516 0.2435
W 0.7529 0.7484 0.2435

---

The following is a calculated X-ray powder pattern of TaZnW2. It was derived from DFT lattice parameters and positions (PBE), using Cu Kα, 1.54184 Å.
Neutral-atom scattering factors, no anomalous dispersion.

Top 10 peaks for 5 to 70 degrees two-theta, by angle:
2θ (°)	I_rel
17.05	13
19.29	10
25.86	9
38.67	7
39.16	52
39.70	50
39.83	100
40.51	95
56.99	35
59.22	16

Cell and atoms:
Unit cell a=2.7261 b=4.6011 c=5.2502 alpha=90.00 beta=97.99 gamma=90.00
Positions (direct):
Ta 0.0000 0.0000 0.0000
Zn 0.5000 0.0000 0.5000
W 0.2700 0.5000 0.7506
W 0.7300 0.5000 0.2494